Simulated powder XRD pattern of PuCd5In2 for Cu Kα, 1.54184 Å, from a GGA-PBE-relaxed structure.
No peak broadening, texture or thermal motion is included.

Peak list (10 most intense, 2θ from 10° to 90°, in order of falling intensity)
2.762 Å, I = 100
2.547 Å, I = 77
2.808 Å, I = 24
1.413 Å, I = 18
1.999 Å, I = 17
1.424 Å, I = 17
2.847 Å, I = 15
2.519 Å, I = 14
1.801 Å, I = 13
2.013 Å, I = 12

Structural model:
Cell: 11.3896 11.3894 8.5992 Å, 90.00 131.35 90.00°
Space group C2/m (No. 12)
Unique sites:
1 Pu 0.0000 0.2500 0.0000 (multiplicity 4)
2 Cd 0.0238 0.0000 0.8327 (multiplicity 4)
3 Cd 0.1665 0.3575 0.8328 (multiplicity 8)
4 Cd 0.1912 0.5000 0.1672 (multiplicity 4)
5 Cd 0.2500 0.2500 0.5000 (multiplicity 4)
6 In 0.0000 0.1536 0.5000 (multiplicity 4)
7 In 0.1534 0.5000 0.4997 (multiplicity 4)